This entry pairs a crystal structure of CaGe3 with its theoretical powder diffraction line list. Radiation: Cu Kα. Structure: the PBE geometry in Alexandria.
Lines closer than 0.1° are merged.

Cell and atoms:
```
CaGe3
1.0
-3.854 3.854 5.685
3.854 -3.854 5.685
3.854 3.854 -5.685
Ca Ge
4 12
Direct
0.167 0.167 0.000
0.250 0.750 0.500
0.750 0.250 0.500
0.833 0.833 0.000
0.000 0.331 0.331
0.000 0.669 0.669
0.198 0.198 0.631
0.198 0.567 0.000
0.331 0.000 0.331
0.433 0.433 0.631
0.433 0.802 0.000
0.567 0.198 0.000
0.567 0.567 0.369
0.669 0.000 0.669
0.802 0.433 0.000
0.802 0.802 0.369
```

The 10 most intense peaks (10 to 80 degrees two-theta), in order of rising 2θ:
Position (°2θ)  I (rel.)
15.59  17
35.19  41
35.62  24
35.83  100
39.39  35
41.40  12
46.14  13
50.21  23
59.34  17
70.57  12